Diffraction record for V2HgGeO8. The powder X-ray diffraction pattern is calculated, not measured: it uses a DFT-relaxed cell (PBE+U, Alexandria) and CuKα.

Crystal structure
abc: 5.584 5.584 6.208
angles: 90.00 90.00 120.00
Fractional coordinates of all 12 atoms:
V (0.333, 0.667, 0.232)
V (0.667, 0.333, 0.768)
Hg (0.000, 0.000, 0.000)
Ge (0.000, 0.000, 0.500)
O (0.155, 0.311, 0.313)
O (0.155, 0.845, 0.313)
O (0.311, 0.155, 0.687)
O (0.333, 0.667, 0.969)
O (0.667, 0.333, 0.031)
O (0.689, 0.845, 0.313)
O (0.845, 0.155, 0.687)
O (0.845, 0.689, 0.687)

Top 8 peaks for 2θ = 10–90°, by intensity:
(hkl), 2θ/deg, I (rel.)
1 0 0, 18.35, 100
1 1 0, 32.06, 69
1 0 2, 34.33, 69
0 1 1, 23.32, 42
2 0 2, 47.68, 39
2 1 2, 58.61, 33
1 1 1, 35.25, 25
1 1 2, 43.60, 22